[1]
Theoretical powder X-ray diffraction pattern of BaCeIn2F8 for Cu Kα, from a cell relaxed with PBE.

Peak list (10 most intense, 2θ = 15–90°, in order of rising 2θ)
2theta	d [Å]	I (rel.)
25.16	3.540	98
25.52	3.491	100
27.54	3.239	20
30.20	2.959	30
41.33	2.185	83
43.69	2.072	19
47.27	1.923	19
50.48	1.808	29
51.08	1.788	28
65.77	1.420	23

Crystal structure
Lattice parameters (Å, degrees): 4.1436 6.4786 8.4530 90.00 90.00 90.00
Space group Pmmm (No. 47)
One atom of each set of equivalent atoms:
Ba 0.0000 0.0000 0.0000
Ce 0.0000 0.0000 0.5000
In 0.5000 0.5000 0.2451
F 0.0000 0.2082 0.2855
F 0.5000 0.1913 0.5000
F 0.5000 0.2566 0.0000

---

[2]
Theoretical powder X-ray diffraction pattern of CeMg6Al for Cu Kα, from a cell relaxed with PBE.

Peak list (10 most intense, 2θ = 15–90°, in order of rising 2θ)
2theta	d [Å]	I (rel.)
17.09	5.188	42
18.24	4.864	34
23.29	3.819	41
23.50	3.786	42
25.10	3.549	29
33.74	2.657	52
34.45	2.604	83
34.58	2.594	39
35.02	2.563	100
36.97	2.432	56

Crystal structure
Lattice parameters (Å, degrees): 6.3416 4.8644 6.4833 90.00 108.04 90.00
Space group Pm (No. 6)
One atom of each set of equivalent atoms:
Ce 0.0000 0.0000 0.0000
Mg 0.0359 0.0000 0.5000
Mg 0.2015 0.5000 0.7811
Mg 0.4786 0.0000 0.8898
Mg 0.5165 0.0000 0.3974
Mg 0.6840 0.5000 0.6890
Mg 0.7246 0.5000 0.1984
Al 0.2417 0.5000 0.2864

---

[3]
Theoretical powder X-ray diffraction pattern of Pm6Pt2Au for Cu Kα, from a cell relaxed with PBE.

Peak list (10 most intense, 2θ = 15–90°, in order of rising 2θ)
2theta	d [Å]	I (rel.)
18.62	4.766	23
30.96	2.888	73
32.94	2.719	70
33.10	2.706	100
33.83	2.650	71
34.48	2.601	30
36.55	2.459	20
37.75	2.383	39
38.22	2.355	27
58.41	1.580	39

Crystal structure
Lattice parameters (Å, degrees): 9.5327 10.0336 10.5235 90.00 90.00 90.00
Space group Immm (No. 71)
One atom of each set of equivalent atoms:
Pm 0.0000 0.1924 0.2365
Pm 0.2003 0.5000 0.1678
Pm 0.2151 0.3231 0.5000
Pt 0.0000 0.3435 0.0000
Pt 0.0000 0.5000 0.3659
Au 0.0000 0.0000 0.0000
Au 0.0000 0.0000 0.5000